Starting from the PBE+U geometry in the Materials Project, the powder XRD pattern of Li7Mn4CoO12 was calculated for Cu Kα X-rays.
Intensities are scaled so that the largest is 100.

Structure:
a = 2.9890 Å, b = 5.0851 Å, c = 14.6341 Å
α = 87.79°, β = 87.19°, γ = 86.61°
Sites, in units of the cell vectors:
Li 0.0000 0.0000 0.0000
Li 0.0005 0.3356 0.6592
Li 0.0027 0.0037 0.5014
Li 0.0083 0.6737 0.3426
Li 0.4951 0.1568 0.3457
Li 0.5033 0.5061 0.9986
Li 0.5101 0.8478 0.6578
Mn 0.0064 0.3376 0.1675
Mn 0.4998 0.1697 0.8331
Mn 0.5026 0.5035 0.5011
Mn 0.5060 0.8377 0.1681
Co 0.9999 0.6697 0.8338
O 0.0226 0.3443 0.9100
O 0.0312 0.3577 0.4290
O 0.0331 0.0142 0.2444
O 0.4699 0.5031 0.7612
O 0.4760 0.1610 0.0891
O 0.4951 0.8122 0.4221
O 0.5111 0.1948 0.5808
O 0.5292 0.5098 0.2425
O 0.5343 0.8420 0.9099
O 0.9732 0.6493 0.5732
O 0.9726 0.6615 0.0888
O 0.9845 0.9943 0.7592

Main lines, by angle (2θ = 10–90°):
2θ = 18.22°, I = 100
2θ = 34.19°, I = 17
2θ = 36.16°, I = 12
2θ = 36.48°, I = 11
2θ = 41.00°, I = 34
2θ = 44.23°, I = 54
2θ = 61.49°, I = 17
2θ = 62.30°, I = 8

---

Starting from the PBE+U geometry in the Materials Project, the powder XRD pattern of Li4MnCo2O7 was calculated for Cu Kα X-rays.
Intensities are scaled so that the largest is 100.

Structure:
a = 5.1159 Å, b = 7.6744 Å, c = 7.7338 Å
α = 61.01°, β = 77.70°, γ = 72.04°
Sites, in units of the cell vectors:
Li 0.0000 0.0000 0.0000
Li 0.0004 0.1279 0.2957
Li 0.0013 0.8420 0.7307
Li 0.0027 0.7011 0.4396
Li 0.0154 0.4032 0.8748
Li 0.4999 0.1302 0.7990
Li 0.9982 0.5594 0.1522
Li 0.9991 0.2651 0.5977
Mn 0.5006 0.9878 0.5137
Mn 0.5025 0.4109 0.3721
Co 0.4948 0.7070 0.9384
Co 0.5045 0.2656 0.0759
Co 0.5056 0.8446 0.2208
Co 0.5065 0.5467 0.6586
O 0.2688 0.1294 0.0570
O 0.2697 0.9785 0.7489
O 0.2724 0.5550 0.9062
O 0.2742 0.6806 0.2014
O 0.2766 0.4278 0.6032
O 0.2794 0.2606 0.3485
O 0.2831 0.8482 0.4682
O 0.7195 0.4131 0.1325
O 0.7217 0.1395 0.5347
O 0.7240 0.7200 0.6787
O 0.7278 0.8329 0.9906
O 0.7310 0.9870 0.2737
O 0.7327 0.5491 0.4045
O 0.7462 0.2870 0.8351

Main lines, by angle (2θ = 10–90°):
2θ = 18.28°, I = 100
2θ = 35.60°, I = 14
2θ = 35.90°, I = 13
2θ = 36.43°, I = 13
2θ = 42.94°, I = 29
2θ = 43.54°, I = 28
2θ = 44.08°, I = 27
2θ = 62.77°, I = 8

---

Starting from the PBE+U geometry in the Materials Project, the powder XRD pattern of Li7Mn2Co3O12 was calculated for Cu Kα X-rays.
Intensities are scaled so that the largest is 100.

Structure:
a = 7.7878 Å, b = 7.7878 Å, c = 10.2267 Å
α = 109.33°, β = 109.33°, γ = 21.56°
Sites, in units of the cell vectors:
Li 0.0000 0.0000 0.0000
Li 0.1616 0.1616 0.9210
Li 0.1654 0.1654 0.4145
Li 0.4959 0.4959 0.2375
Li 0.5041 0.5041 0.7625
Li 0.8346 0.8346 0.5855
Li 0.8384 0.8384 0.0790
Mn 0.3393 0.3393 0.8418
Mn 0.6607 0.6607 0.1582
Co 0.0000 0.0000 0.5000
Co 0.3330 0.3330 0.3327
Co 0.6670 0.6670 0.6673
O 0.0887 0.0887 0.7038
O 0.0923 0.0923 0.2055
O 0.2408 0.2408 0.1330
O 0.2483 0.2483 0.6377
O 0.4085 0.4085 0.0255
O 0.4206 0.4206 0.5345
O 0.5794 0.5794 0.4655
O 0.5915 0.5915 0.9745
O 0.7517 0.7517 0.3623
O 0.7592 0.7592 0.8670
O 0.9077 0.9077 0.7945
O 0.9113 0.9113 0.2962

Main lines, by angle (2θ = 10–90°):
2θ = 18.39°, I = 100
2θ = 35.82°, I = 14
2θ = 36.06°, I = 25
2θ = 43.47°, I = 28
2θ = 43.68°, I = 56
2θ = 57.60°, I = 10
2θ = 63.21°, I = 15
2θ = 63.44°, I = 15

---

Starting from the PBE+U geometry in the Materials Project, the powder XRD pattern of Li7Mn4CoO12 was calculated for Cu Kα X-rays.
Intensities are scaled so that the largest is 100.

Structure:
a = 5.0901 Å, b = 5.9589 Å, c = 7.6108 Å
α = 80.26°, β = 77.27°, γ = 74.65°
Sites, in units of the cell vectors:
Li 0.0000 0.0000 0.0000
Li 0.0000 0.5000 0.0000
Li 0.0035 0.1561 0.3482
Li 0.0125 0.3374 0.6564
Li 0.5000 0.5000 0.5000
Li 0.9875 0.6626 0.3436
Li 0.9965 0.8439 0.6518
Mn 0.4976 0.6709 0.8262
Mn 0.4989 0.8293 0.1732
Mn 0.5011 0.1707 0.8268
Mn 0.5024 0.3291 0.1738
Co 0.5000 0.0000 0.5000
O 0.2683 0.0220 0.7397
O 0.2695 0.6843 0.0754
O 0.2753 0.8418 0.4067
O 0.2774 0.4773 0.7660
O 0.2784 0.3093 0.4088
O 0.2850 0.1485 0.0809
O 0.7150 0.8515 0.9191
O 0.7216 0.6907 0.5912
O 0.7226 0.5227 0.2340
O 0.7247 0.1582 0.5933
O 0.7306 0.3157 0.9246
O 0.7317 0.9780 0.2603

Main lines, by angle (2θ = 10–90°):
2θ = 15.53°, I = 8
2θ = 18.39°, I = 100
2θ = 35.04°, I = 15
2θ = 36.14°, I = 12
2θ = 36.57°, I = 12
2θ = 42.34°, I = 31
2θ = 43.95°, I = 28
2θ = 44.35°, I = 27

---

Starting from the PBE+U geometry in the Materials Project, the powder XRD pattern of Li7Mn2Co3O12 was calculated for Cu Kα X-rays.
Intensities are scaled so that the largest is 100.

Structure:
a = 8.2191 Å, b = 2.9488 Å, c = 9.8590 Å
α = 90.00°, β = 113.62°, γ = 90.00°
Sites, in units of the cell vectors:
Li 0.0000 0.0000 0.0000
Li 0.0034 0.5000 0.5014
Li 0.1540 0.5000 0.8147
Li 0.3152 0.0000 0.6455
Li 0.5096 0.5000 0.5131
Li 0.6984 0.0000 0.3549
Li 0.8459 0.5000 0.1751
Mn 0.3363 0.5000 0.1701
Mn 0.5064 0.0000 0.9986
Co 0.1542 0.0000 0.3453
Co 0.6824 0.5000 0.8247
Co 0.8464 0.0000 0.6528
O 0.0752 0.0000 0.6719
O 0.1113 0.5000 0.1709
O 0.2552 0.5000 0.4894
O 0.2766 0.0000 0.0209
O 0.4105 0.0000 0.3080
O 0.4322 0.5000 0.8572
O 0.5687 0.5000 0.1458
O 0.5969 0.0000 0.6780
O 0.7302 0.0000 0.9908
O 0.7520 0.5000 0.5065
O 0.9107 0.5000 0.8359
O 0.9282 0.0000 0.3258

Main lines, by angle (2θ = 10–90°):
2θ = 18.11°, I = 100
2θ = 35.70°, I = 26
2θ = 36.27°, I = 11
2θ = 42.93°, I = 58
2θ = 44.08°, I = 25
2θ = 56.41°, I = 10
2θ = 62.78°, I = 15
2θ = 63.65°, I = 12

---

Starting from the PBE+U geometry in the Materials Project, the powder XRD pattern of Li4MnCo2O7 was calculated for Cu Kα X-rays.
Intensities are scaled so that the largest is 100.

Structure:
a = 14.8616 Å, b = 14.8616 Å, c = 5.9119 Å
α = 96.48°, β = 96.48°, γ = 11.21°
Sites, in units of the cell vectors:
Li 0.0000 0.0000 0.0000
Li 0.9999 0.9999 0.4890
Li 0.1401 0.1401 0.0633
Li 0.2865 0.2865 0.6395
Li 0.4358 0.4358 0.2052
Li 0.5654 0.5654 0.7825
Li 0.7120 0.7120 0.3490
Li 0.8607 0.8607 0.9210
Mn 0.2854 0.2854 0.1367
Mn 0.5683 0.5683 0.2746
Co 0.1425 0.1425 0.5678
Co 0.4365 0.4365 0.7269
Co 0.7116 0.7116 0.8447
Co 0.8620 0.8620 0.4332
O 0.0712 0.0712 0.0594
O 0.0725 0.0725 0.5045
O 0.2125 0.2125 0.6097
O 0.2180 0.2180 0.0898
O 0.3506 0.3506 0.1839
O 0.3561 0.3561 0.6536
O 0.4970 0.4970 0.7377
O 0.5063 0.5063 0.2485
O 0.6388 0.6388 0.3307
O 0.6417 0.6417 0.8038
O 0.7848 0.7848 0.9155
O 0.7856 0.7856 0.3584
O 0.9255 0.9255 0.4663
O 0.9287 0.9287 0.9434

Main lines, by angle (2θ = 10–90°):
2θ = 18.24°, I = 100
2θ = 35.68°, I = 13
2θ = 36.14°, I = 26
2θ = 43.09°, I = 27
2θ = 43.70°, I = 56
2θ = 47.53°, I = 13
2θ = 62.71°, I = 15
2θ = 63.37°, I = 14